Record 1
Y3Ag5: calculated XRD peak list (copper Kα), based on DFT lattice parameters and positions (PBE).
No peak broadening, texture or thermal motion is included.

Most intense lines, 10° ≤ 2θ ≤ 90°, low angle first:
2θ/deg	I/Imax	hkl
23.06	15	0 0 1
33.37	100	1 1 1
36.22	37	2 0 1
36.71	59	2 1 0
41.84	24	3 0 0
43.80	29	2 1 1
47.12	18	0 0 2
61.17	25	2 1 2
67.55	14	3 2 1
71.02	19	4 1 1

Structural model:
Lattice parameters (Å, degrees): 7.4799 7.4799 3.8572 90.00 90.00 120.00
Space group P-62m (No. 189)
One atom of each set of equivalent atoms:
Y  0.0000  0.6153  0.0000 x3
Ag  0.0000  0.2336  0.5000 x3
Ag  0.3333  0.6667  0.5000 x2

=====

Record 2
TmHf2Sc3: calculated XRD peak list (copper Kα), based on DFT lattice parameters and positions (PBE).
No peak broadening, texture or thermal motion is included.

Most intense lines, 10° ≤ 2θ ≤ 90°, low angle first:
2θ/deg	I/Imax	hkl
11.01	100	2 0 -1
15.20	25	2 0 1
31.24	67	3 1 0
33.45	73	6 0 -3
34.07	65	2 0 3
35.58	57	8 0 0
35.90	30	1 1 2
36.07	66	5 1 0
40.79	30	3 1 -3
40.92	48	1 1 -3

Structural model:
Lattice parameters (Å, degrees): 21.2502 3.1643 9.3670 90.00 108.22 90.00
Space group C2/m (No. 12)
One atom of each set of equivalent atoms:
Tm  0.1824  0.0000  0.0387 x4
Hf  0.0729  0.5000  0.1514 x4
Hf  0.1931  0.0000  0.3738 x4
Sc  0.0604  0.0000  0.4401 x4
Sc  0.0623  0.5000  0.7769 x4
Sc  0.1964  0.0000  0.7063 x4

=====

Record 3
Tb7Tm12Cd: calculated XRD peak list (copper Kα), based on DFT lattice parameters and positions (PBE).
No peak broadening, texture or thermal motion is included.

Most intense lines, 10° ≤ 2θ ≤ 90°, low angle first:
2θ/deg	I/Imax	hkl
31.22	48	0 3 -1
31.34	59	1 -3 1
31.43	63	2 2 -1
31.68	74	3 -1 0
32.36	92	1 -2 3
32.47	36	-2 2 1
33.04	89	1 1 2
33.82	100	2 1 -3
39.69	27	-2 2 2
49.00	28	1 4 -4

Structural model:
Lattice parameters (Å, degrees): 8.6373 8.7903 9.3336 116.12 96.20 97.67
Space group P-1 (No. 2)
One atom of each set of equivalent atoms:
Tb  0.0000  0.0000  0.0000 x1
Tb  0.1741  0.5984  0.6349 x2
Tb  0.2992  0.7066  0.0193 x2
Tb  0.4142  0.3355  0.7201 x2
Tm  0.0377  0.3095  0.8232 x2
Tm  0.0582  0.1364  0.4184 x2
Tm  0.2040  0.4210  0.2177 x2
Tm  0.3069  0.8801  0.4584 x2
Tm  0.3086  0.0643  0.8781 x2
Tm  0.4042  0.1279  0.2664 x2
Cd  0.5000  0.5000  0.5000 x1

=====

Record 4
DyY2Tm12: calculated XRD peak list (copper Kα), based on DFT lattice parameters and positions (PBE).
No peak broadening, texture or thermal motion is included.

Most intense lines, 10° ≤ 2θ ≤ 90°, low angle first:
2θ/deg	I/Imax	hkl
30.61	30	2 2 -2
30.83	61	0 2 7
31.53	45	2 2 -3
32.63	100	0 4 0
32.87	58	2 2 -4
34.15	34	0 2 8
36.64	26	2 2 5
46.83	24	2 4 5
60.88	26	2 2 13
62.53	21	4 4 -1

Structural model:
Lattice parameters (Å, degrees): 7.0650 10.9834 23.9751 90.00 94.20 90.00
Space group C2/m (No. 12)
One atom of each set of equivalent atoms:
Dy  0.2502  0.0000  0.0010 x4
Y  0.0670  0.0000  0.2717 x4
Y  0.0683  0.5000  0.2717 x4
Tm  0.0186  0.2501  0.0747 x8
Tm  0.1117  0.2502  0.4455 x8
Tm  0.1429  0.0000  0.5738 x4
Tm  0.1432  0.5000  0.5734 x4
Tm  0.1671  0.2506  0.6687 x8
Tm  0.2003  0.2484  0.7986 x8
Tm  0.2152  0.5000  0.8619 x4
Tm  0.2156  0.0000  0.8640 x4